# Cs3Tl4Sn
Calculated powder diffractogram, λ = 1.5418 Å (Cu Kα). Input: DFT lattice parameters and positions (PBE).

The 12 most intense peaks (10 to 90 degrees two-theta), in order of rising 2θ:
2θ 12.48, 7.091 Å, intensity 100
2θ 21.28, 4.176 Å, intensity 53
2θ 23.30, 3.818 Å, intensity 68
2θ 25.12, 3.545 Å, intensity 89
2θ 27.42, 3.253 Å, intensity 58
2θ 27.76, 3.214 Å, intensity 32
2θ 31.22, 2.865 Å, intensity 30
2θ 31.76, 2.818 Å, intensity 83
2θ 32.53, 2.753 Å, intensity 37
2θ 33.39, 2.683 Å, intensity 94
2θ 43.17, 2.096 Å, intensity 29
2θ 57.24, 1.609 Å, intensity 30

Atomic structure:
Unit cell a=8.711 b=8.711 c=8.711 alpha=130.29 beta=79.22 gamma=122.71
Fractional coordinates of all 8 atoms:
Cs  0.000  0.000  0.000
Cs  0.093  0.371  0.722
Cs  0.649  0.371  0.278
Tl  0.251  0.908  0.343
Tl  0.534  0.313  0.780
Tl  0.534  0.754  0.220
Tl  0.565  0.908  0.657
Sn  0.167  0.667  0.500


# CaIn3Bi2
Calculated powder diffractogram, λ = 1.5418 Å (Cu Kα). Input: DFT lattice parameters and positions (PBE).

The 12 most intense peaks (10 to 90 degrees two-theta), in order of rising 2θ:
2θ 19.82, 4.479 Å, intensity 25
2θ 26.51, 3.363 Å, intensity 40
2θ 30.63, 2.919 Å, intensity 79
2θ 30.75, 2.908 Å, intensity 75
2θ 31.30, 2.858 Å, intensity 39
2θ 33.32, 2.689 Å, intensity 100
2θ 36.55, 2.458 Å, intensity 48
2θ 40.99, 2.202 Å, intensity 50
2θ 42.83, 2.111 Å, intensity 34
2θ 45.72, 1.985 Å, intensity 19
2θ 63.76, 1.460 Å, intensity 23
2θ 63.93, 1.456 Å, intensity 35

Atomic structure:
Unit cell a=6.847 b=6.847 c=9.833 alpha=111.23 beta=111.23 gamma=58.83
Fractional coordinates of all 12 atoms:
Ca  0.242  0.758  0.750
Ca  0.758  0.242  0.250
In  0.260  0.740  0.250
In  0.336  0.354  0.926
In  0.354  0.336  0.426
In  0.646  0.664  0.574
In  0.664  0.646  0.074
In  0.740  0.260  0.750
Bi  0.152  0.167  0.583
Bi  0.167  0.152  0.083
Bi  0.833  0.848  0.917
Bi  0.848  0.833  0.417